The following is a theoretical powder diffractogram of PmTmIn2O6. It was derived from a structure optimized by DFT (PBE), using Cu Kα (λ = 1.5418 Å).
Neutral-atom scattering factors, no anomalous dispersion.

Cell and atoms:
```
PmTmIn2O6
1.0
2.8641 1.6536 4.9844
-2.8641 1.6536 4.9844
0.0000 -3.3071 4.9844
Pm Tm In O
1 1 2 6
Direct
0.0000 0.0000 0.0000
0.4917 0.4917 0.4917
0.2762 0.2762 0.2762
0.7801 0.7801 0.7801
0.0828 0.6544 0.4136
0.1744 0.5745 0.8941
0.4136 0.0828 0.6544
0.5745 0.8941 0.1744
0.6544 0.4136 0.0828
0.8941 0.1744 0.5745
```

Top 10 peaks for 10° ≤ 2θ ≤ 80°, sorted by position:
| 2θ/deg | d (Å) | Rel. int. |
| --- | --- | --- |
| 21.5 | 4.134 | 21 |
| 29.9 | 2.986 | 100 |
| 31.2 | 2.864 | 95 |
| 43.8 | 2.067 | 41 |
| 48.4 | 1.880 | 29 |
| 52.3 | 1.749 | 13 |
| 54.8 | 1.676 | 40 |
| 55.6 | 1.654 | 27 |
| 65.1 | 1.432 | 22 |
| 73.3 | 1.291 | 15 |